For SbH4Pd5, a structure optimized by DFT (GGA-PBE) gives the theoretical X-ray diffraction stick pattern in this record (Cu Kα (λ = 1.5418 Å)).
Intensities are scaled so that the largest is 100.

Main lines, in order of falling intensity (10 to 80 degrees two-theta):
d 2.279, 2θ = 39.54°, I = 100, (2 2 0)
d 2.321, 2θ = 38.80°, I = 99, (0 3 1)
d 2.403, 2θ = 37.43°, I = 72, (2 1 1)
d 3.534, 2θ = 25.20°, I = 71, (1 1 1)
d 1.992, 2θ = 45.53°, I = 51, (2 0 2)
d 2.258, 2θ = 39.92°, I = 45, (0 2 2)
d 2.798, 2θ = 31.99°, I = 44, (0 0 2)
d 1.330, 2θ = 70.85°, I = 41, (2 3 3)
d 1.309, 2θ = 72.14°, I = 36, (2 5 1)
d 2.098, 2θ = 43.11°, I = 26, (1 2 2)

Atomic structure:
abc: 5.6748 7.6512 5.5957
angles: 90.00 90.00 90.00
Space group Pmmn (No. 59, origin choice 2)
Unique sites:
1 Sb 0.2500 0.2500 0.1010 x2
2 H 0.0047 0.2500 0.5757 x4
3 H 0.2500 0.5674 0.8189 x4
4 Pd 0.0061 0.5589 0.2399 x8
5 Pd 0.2500 0.7500 0.6140 x2

For ScH6Pd8, a structure optimized by DFT (GGA-PBE) gives the theoretical X-ray diffraction stick pattern in this record (Cu Kα (λ = 1.5418 Å)).
Intensities are scaled so that the largest is 100.

Main lines, in order of falling intensity (10 to 80 degrees two-theta):
d 2.374, 2θ = 37.90°, I = 100, (3 1 -2)
d 2.147, 2θ = 42.08°, I = 19, (0 0 3)
d 2.044, 2θ = 44.33°, I = 16, (6 0 -1)
d 1.986, 2θ = 45.68°, I = 15, (0 2 0)
d 1.209, 2θ = 79.25°, I = 11, (3 3 -2)
d 1.458, 2θ = 63.84°, I = 11, (0 2 3)
d 1.424, 2θ = 65.54°, I = 10, (6 2 -1)
d 1.278, 2θ = 74.18°, I = 6, (3 1 -5)
d 1.280, 2θ = 74.07°, I = 6, (3 1 4)
d 1.234, 2θ = 77.36°, I = 6, (9 1 -3)

Atomic structure:
abc: 12.2615 3.9724 6.7543
angles: 90.00 107.48 90.00
Space group C2/m (No. 12)
Unique sites:
1 Sc 0.0000 0.0000 0.0000 x2
2 H 0.0781 0.0000 0.3722 x4
3 H 0.1154 0.5000 0.7126 x4
4 H 0.2035 0.5000 0.2984 x4
5 Pd 0.0526 0.5000 0.3268 x4
6 Pd 0.1136 0.0000 0.6788 x4
7 Pd 0.1622 0.5000 0.0019 x4
8 Pd 0.2189 0.0000 0.3237 x4

Copy entry 2 word for word.
For ScH6Pd8, a structure optimized by DFT (GGA-PBE) gives the theoretical X-ray diffraction stick pattern in this record (Cu Kα (λ = 1.5418 Å)).
Intensities are scaled so that the largest is 100.

Main lines, in order of falling intensity (10 to 80 degrees two-theta):
d 2.374, 2θ = 37.90°, I = 100, (3 1 -2)
d 2.147, 2θ = 42.08°, I = 19, (0 0 3)
d 2.044, 2θ = 44.33°, I = 16, (6 0 -1)
d 1.986, 2θ = 45.68°, I = 15, (0 2 0)
d 1.209, 2θ = 79.25°, I = 11, (3 3 -2)
d 1.458, 2θ = 63.84°, I = 11, (0 2 3)
d 1.424, 2θ = 65.54°, I = 10, (6 2 -1)
d 1.278, 2θ = 74.18°, I = 6, (3 1 -5)
d 1.280, 2θ = 74.07°, I = 6, (3 1 4)
d 1.234, 2θ = 77.36°, I = 6, (9 1 -3)

Atomic structure:
abc: 12.2615 3.9724 6.7543
angles: 90.00 107.48 90.00
Space group C2/m (No. 12)
Unique sites:
1 Sc 0.0000 0.0000 0.0000 x2
2 H 0.0781 0.0000 0.3722 x4
3 H 0.1154 0.5000 0.7126 x4
4 H 0.2035 0.5000 0.2984 x4
5 Pd 0.0526 0.5000 0.3268 x4
6 Pd 0.1136 0.0000 0.6788 x4
7 Pd 0.1622 0.5000 0.0019 x4
8 Pd 0.2189 0.0000 0.3237 x4